Simulated powder X-ray diffraction pattern
Compound: Nd4Co3Ge8
Radiation: CuKα
Structure: a PBE-relaxed structure

Atomic structure:
Lattice parameters (Å, degrees): 4.1994 4.2558 16.6097 90.00 90.00 90.00
Fractional coordinates of all 15 atoms:
1 Nd 0.0000 0.0000 0.0000
2 Nd 0.0000 0.5000 0.4976
3 Nd 0.5000 0.0000 0.2117
4 Nd 0.5000 0.5000 0.7139
5 Co 0.0000 0.0000 0.7906
6 Co 0.0000 0.5000 0.2938
7 Co 0.5000 0.5000 0.9248
8 Ge 0.0000 0.0000 0.3595
9 Ge 0.0000 0.0000 0.6522
10 Ge 0.0000 0.5000 0.1538
11 Ge 0.0000 0.5000 0.8568
12 Ge 0.5000 0.0000 0.5583
13 Ge 0.5000 0.0000 0.8574
14 Ge 0.5000 0.5000 0.0623
15 Ge 0.5000 0.5000 0.3589

Largest 8 diffraction maxima, in order of rising 2θ, 2θ from 10° to 90°:
- 34.09 deg, I 100
- 34.24 deg, I 29
- 38.97 deg, I 26
- 42.48 deg, I 26
- 43.08 deg, I 25
- 59.00 deg, I 15
- 62.10 deg, I 16
- 72.37 deg, I 14



Simulated powder X-ray diffraction pattern
Compound: BaCu3O4
Radiation: CuKα
Structure: a PBE-relaxed structure

Atomic structure:
Lattice parameters (Å, degrees): 6.1796 6.1796 5.3235 90.00 90.00 125.62
Fractional coordinates of all 8 atoms:
1 Ba 0.0000 0.0000 0.0000
2 Cu 0.0000 0.0000 0.5000
3 Cu 0.2663 0.7337 0.5000
4 Cu 0.7337 0.2663 0.5000
5 O 0.0905 0.3580 0.5000
6 O 0.3580 0.0905 0.5000
7 O 0.6420 0.9095 0.5000
8 O 0.9095 0.6420 0.5000

Largest 8 diffraction maxima, in order of rising 2θ, 2θ from 10° to 90°:
- 16.65 deg, I 35
- 17.66 deg, I 100
- 23.26 deg, I 58
- 29.05 deg, I 43
- 33.67 deg, I 45
- 38.27 deg, I 28
- 46.09 deg, I 32
- 58.28 deg, I 30



Simulated powder X-ray diffraction pattern
Compound: Al2O3
Radiation: CuKα
Structure: a PBE-relaxed structure

Atomic structure:
Lattice parameters (Å, degrees): 5.8495 5.9716 14.4178 79.60 86.91 62.57
Fractional coordinates of all 40 atoms:
1 Al 0.0000 0.0000 0.0000
2 Al 0.0011 0.4431 0.0388
3 Al 0.0959 0.2630 0.8421
4 Al 0.1658 0.7300 0.8147
5 Al 0.2345 0.5792 0.1917
6 Al 0.2531 0.3660 0.6122
7 Al 0.2609 0.8684 0.5868
8 Al 0.3764 0.6290 0.3999
9 Al 0.4129 0.1508 0.3635
10 Al 0.5644 0.9510 0.0476
11 Al 0.6070 0.1586 0.8191
12 Al 0.7014 0.6512 0.7191
13 Al 0.7233 0.5747 0.2448
14 Al 0.7616 0.9088 0.5369
15 Al 0.7725 0.0759 0.2096
16 Al 0.9167 0.1795 0.4017
17 O 0.1576 0.6312 0.0673
18 O 0.1923 0.9274 0.8880
19 O 0.2294 0.0925 0.0653
20 O 0.2322 0.4293 0.4063
21 O 0.2562 0.9624 0.4059
22 O 0.3039 0.4060 0.8725
23 O 0.3248 0.2361 0.7346
24 O 0.3544 0.7546 0.7118
25 O 0.3656 0.5756 0.5469
26 O 0.3845 0.7059 0.2544
27 O 0.4351 0.2336 0.2390
28 O 0.4362 0.0521 0.5732
29 O 0.7116 0.5079 0.3883
30 O 0.7137 0.6160 0.1065
31 O 0.7246 0.9636 0.9375
32 O 0.7348 0.9932 0.4121
33 O 0.7425 0.0980 0.0886
34 O 0.8023 0.3270 0.7735
35 O 0.8341 0.8271 0.7701
36 O 0.8955 0.3605 0.9426
37 O 0.8976 0.6010 0.6110
38 O 0.9057 0.2310 0.2643
39 O 0.9177 0.7350 0.2420
40 O 0.9417 0.0737 0.5457

Largest 8 diffraction maxima, in order of rising 2θ, 2θ from 10° to 90°:
- 18.40 deg, I 60
- 19.27 deg, I 100
- 31.56 deg, I 41
- 34.53 deg, I 57
- 35.58 deg, I 31
- 36.44 deg, I 30
- 38.10 deg, I 49
- 38.81 deg, I 45



Simulated powder X-ray diffraction pattern
Compound: V3Ag2TeS6
Radiation: CuKα
Structure: a PBE-relaxed structure

Atomic structure:
Lattice parameters (Å, degrees): 5.5490 5.5490 8.0887 90.00 90.00 120.00
Fractional coordinates of all 12 atoms:
1 V 0.0000 0.3413 0.0000
2 V 0.3413 0.0000 0.0000
3 V 0.6587 0.6587 0.0000
4 Ag 0.3333 0.6667 0.5000
5 Ag 0.6667 0.3333 0.5000
6 Te 0.0000 0.0000 0.5000
7 S 0.0000 0.0000 0.1717
8 S 0.0000 0.0000 0.8283
9 S 0.3333 0.6667 0.1821
10 S 0.3333 0.6667 0.8179
11 S 0.6667 0.3333 0.1821
12 S 0.6667 0.3333 0.8179

Largest 8 diffraction maxima, in order of rising 2θ, 2θ from 10° to 90°:
- 21.98 deg, I 47
- 32.27 deg, I 92
- 33.23 deg, I 18
- 34.17 deg, I 86
- 39.38 deg, I 18
- 46.99 deg, I 100
- 57.54 deg, I 32
- 77.36 deg, I 21



What is the formula in the first record?
Nd4Co3Ge8